# 1
The following is a calculated PXRD pattern of HfGa2Tc. It was derived from a structure optimized by DFT (PBE), using Cu Ka.
Kinematic intensities with the Lorentz-polarization factor, no thermal factor.

Top 10 peaks for 10° ≤ 2θ ≤ 80°, sorted by position:
| 2θ (°) | I/Imax |
| --- | --- |
| 20.88 | 21 |
| 35.03 | 32 |
| 36.68 | 100 |
| 37.82 | 19 |
| 38.47 | 50 |
| 38.90 | 49 |
| 40.50 | 29 |
| 42.50 | 18 |
| 49.03 | 22 |
| 70.44 | 17 |

Atomic structure:
Unit cell a=4.484 b=5.994 c=5.291 alpha=90.00 beta=108.42 gamma=90.00
Fractional coordinates of all 8 atoms:
Hf: 0.042 0.250 0.147
Hf: 0.958 0.750 0.853
Ga: 0.428 0.041 0.735
Ga: 0.428 0.459 0.735
Ga: 0.572 0.541 0.265
Ga: 0.572 0.959 0.265
Tc: 0.108 0.750 0.389
Tc: 0.892 0.250 0.611

=====

# 2
The following is a calculated PXRD pattern of Dy2HoTmSe6. It was derived from a structure optimized by DFT (PBE), using Cu Ka.
Kinematic intensities with the Lorentz-polarization factor, no thermal factor.

Top 10 peaks for 10° ≤ 2θ ≤ 80°, sorted by position:
| 2θ (°) | I/Imax |
| --- | --- |
| 16.96 | 42 |
| 23.29 | 56 |
| 24.84 | 41 |
| 28.48 | 55 |
| 34.31 | 36 |
| 37.48 | 100 |
| 42.82 | 33 |
| 43.74 | 61 |
| 58.93 | 26 |
| 76.20 | 22 |

Atomic structure:
Unit cell a=7.673 b=7.673 c=7.673 alpha=55.70 beta=55.70 gamma=55.70
Fractional coordinates of all 10 atoms:
Dy: 0.000 0.000 0.000
Dy: 0.499 0.499 0.499
Ho: 0.195 0.195 0.195
Tm: 0.695 0.695 0.695
Se: 0.092 0.408 0.795
Se: 0.296 0.905 0.595
Se: 0.408 0.795 0.092
Se: 0.595 0.296 0.905
Se: 0.795 0.092 0.408
Se: 0.905 0.595 0.296